For CsLiTbTe2, a cell relaxed with GGA-PBE gives the simulated XRD peak list in this record (copper Kα).
Lines closer than 0.1° are merged.

Crystal structure
```
data_CsLiTbTe2
_space_group_name_H-M_alt 'C m m e'
_space_group_IT_number 67
_space_group_name_Hall '-C 2a 2'
_cell_length_a 6.7911
_cell_length_b 16.5622
_cell_length_c 7.0400
_cell_angle_alpha 90.00
_cell_angle_beta 90.00
_cell_angle_gamma 90.00
loop_
_atom_site_label
_atom_site_type_symbol
_atom_site_fract_x
_atom_site_fract_y
_atom_site_fract_z
_atom_site_occupancy
Cs1 Cs 0.0000 0.2500 0.2396 1
Li1 Li 0.0000 0.0000 0.0000 1
Tb1 Tb 0.2500 0.0000 0.5000 1
Te1 Te 0.0000 0.1144 0.7382 1
```

Main lines, by angle (10° ≤ 2θ ≤ 90°):
- (0 0 1), 2θ = 12.6°, I 26
- (0 2 1), 2θ = 16.5°, I 29
- (1 3 1), 2θ = 24.3°, I 100
- (0 2 2), 2θ = 27.5°, I 22
- (2 2 0), 2θ = 28.4°, I 19
- (1 5 1), 2θ = 32.7°, I 23
- (2 0 2), 2θ = 36.8°, I 41
- (1 3 3), 2θ = 44.0°, I 19
- (3 3 1), 2θ = 45.2°, I 19
- (2 8 2), 2θ = 58.4°, I 21